Calculated powder XRD pattern of TiCoSnPd for a wavelength of 1.5418 Å, from the PBE geometry in Alexandria.
Peak positions follow from Bragg's law for the DFT cell and can differ from measured ones.

Top 10 peaks for 2θ = 10–90°, sorted by position:
- d 3.599, 2θ = 24.74°, intensity 22
- d 2.275, 2θ = 39.61°, intensity 100
- d 2.079, 2θ = 43.54°, intensity 43
- d 1.800, 2θ = 50.71°, intensity 7
- d 1.796, 2θ = 50.83°, intensity 12
- d 1.470, 2θ = 63.27°, intensity 16
- d 1.359, 2θ = 69.10°, intensity 20
- d 1.235, 2θ = 77.27°, intensity 27
- d 1.138, 2θ = 85.30°, intensity 13
- d 1.109, 2θ = 88.06°, intensity 10

Structural model:
Cell: 4.6426 4.6426 4.6426 Å, 126.79 126.79 78.59°
Atoms (fractional coordinates):
Ti 0.0000 0.0000 0.0000
Co 0.7500 0.2500 0.5000
Sn 0.5000 0.5000 0.0000
Pd 0.2500 0.7500 0.5000